(1)
Theoretical powder XRD pattern of Ti5Si for Cu Kα (λ = 1.5418 Å), from a cell relaxed with PBE.
Neutral-atom scattering factors, no anomalous dispersion.

Peak list (6 most intense, 10° ≤ 2θ ≤ 90°, most intense first)
hkl 1 1 3, 41.2°, I 100
hkl 1 1 0, 35.6°, I 25
hkl 0 0 6, 40.6°, I 25
hkl 3 0 0, 63.9°, I 12
hkl 1 1 9, 74.3°, I 12
hkl 1 1 6, 55.1°, I 11

```
data_Ti5Si
_symmetry_space_group_name_H-M 'R 3 2'
_symmetry_Int_Tables_number 155
_symmetry_space_group_name_Hall 'R 3 2"'
_cell_length_a 5.0457
_cell_length_b 5.0457
_cell_length_c 13.3227
_cell_angle_alpha 90.00
_cell_angle_beta 90.00
_cell_angle_gamma 120.00
loop_
_atom_site_label
_atom_site_type_symbol
_atom_site_fract_x
_atom_site_fract_y
_atom_site_fract_z
_atom_site_occupancy
Ti1 Ti 0.0000 0.0000 0.1514 1
Ti2 Ti 0.0000 0.6054 0.0000 1
Si1 Si 0.0000 0.0000 0.5000 1
```

---

(2)
Theoretical powder XRD pattern of Tm4CoSn8 for Cu Kα (λ = 1.5418 Å), from a cell relaxed with PBE.
Neutral-atom scattering factors, no anomalous dispersion.

Peak list (6 most intense, 10° ≤ 2θ ≤ 90°, most intense first)
hkl 1 1 3, 33.0°, I 100
hkl 2 0 0, 41.0°, I 35
hkl 3 1 3, 69.6°, I 24
hkl 0 0 6, 32.3°, I 18
hkl 2 2 0, 59.3°, I 12
hkl 2 2 6, 69.2°, I 10

```
data_Tm4CoSn8
_symmetry_space_group_name_H-M 'P m m 2'
_symmetry_Int_Tables_number 25
_cell_length_a 4.4037
_cell_length_b 4.4109
_cell_length_c 16.6051
_cell_angle_alpha 90.00
_cell_angle_beta 90.00
_cell_angle_gamma 90.00
loop_
_symmetry_equiv_pos_as_xyz
'x,y,z'
'-x,-y,z'
'-x,y,z'
'x,-y,z'
loop_
_atom_site_label
_atom_site_type_symbol
_atom_site_fract_x
_atom_site_fract_y
_atom_site_fract_z
_atom_site_occupancy
Tm1 Tm 0.0000 0.0000 0.0000 1
Tm2 Tm 0.0000 0.5000 0.1992 1
Tm3 Tm 0.5000 0.0000 0.4952 1
Tm4 Tm 0.5000 0.5000 0.7018 1
Co1 Co 0.0000 0.0000 0.7901 1
Sn1 Sn 0.0000 0.0000 0.3501 1
Sn2 Sn 0.0000 0.0000 0.6432 1
Sn3 Sn 0.0000 0.5000 0.5244 1
Sn4 Sn 0.0000 0.5000 0.8596 1
Sn5 Sn 0.5000 0.0000 0.1624 1
Sn6 Sn 0.5000 0.0000 0.8618 1
Sn7 Sn 0.5000 0.5000 0.0361 1
Sn8 Sn 0.5000 0.5000 0.3456 1
```

---

(3)
Theoretical powder XRD pattern of BaPHO4 for Cu Kα (λ = 1.5418 Å), from a cell relaxed with PBE.
Neutral-atom scattering factors, no anomalous dispersion.

Peak list (6 most intense, 10° ≤ 2θ ≤ 90°, most intense first)
hkl 0 4 1, 24.3°, I 100
hkl 4 0 0, 24.9°, I 47
hkl 2 4 0, 19.7°, I 33
hkl 4 4 -1, 34.5°, I 31
hkl 4 4 1, 35.7°, I 28
hkl 0 8 0, 30.9°, I 27

```
data_BaPHO4
_symmetry_space_group_name_H-M 'C 1 m 1'
_symmetry_Int_Tables_number 8
_cell_length_a 14.3211
_cell_length_b 23.1804
_cell_length_c 4.7327
_cell_angle_alpha 90.00
_cell_angle_beta 92.46
_cell_angle_gamma 90.00
loop_
_symmetry_equiv_pos_as_xyz
'x,y,z'
'x,-y,z'
'x+1/2,y+1/2,z'
'x+1/2,-y+1/2,z'
loop_
_atom_site_label
_atom_site_type_symbol
_atom_site_fract_x
_atom_site_fract_y
_atom_site_fract_z
_atom_site_occupancy
Ba1 Ba 0.0000 0.0000 0.0000 1
Ba2 Ba 0.0094 0.5000 0.2166 1
Ba3 Ba 0.0377 0.2425 0.0703 1
Ba4 Ba 0.2932 0.1200 0.7191 1
Ba5 Ba 0.2982 0.3713 0.5446 1
P1 P 0.0380 0.3747 0.6256 1
P2 P 0.0442 0.1222 0.5835 1
P3 P 0.2684 0.5000 0.0979 1
P4 P 0.2691 0.0000 0.1376 1
P5 P 0.2705 0.2511 0.1131 1
H1 H 0.1075 0.3724 0.0609 1
H2 H 0.1136 0.1216 0.1620 1
H3 H 0.1898 0.0000 0.5205 1
H4 H 0.1916 0.5000 0.6934 1
H5 H 0.3886 0.2010 0.3748 1
O1 O 0.0904 0.3922 0.3611 1
O2 O 0.0975 0.1063 0.8646 1
O3 O 0.1188 0.3577 0.8603 1
O4 O 0.1267 0.1344 0.3692 1
O5 O 0.1734 0.5000 0.8988 1
O6 O 0.1741 0.0000 0.3096 1
O7 O 0.2081 0.2764 0.3362 1
O8 O 0.2123 0.2199 0.8815 1
O9 O 0.2346 0.5000 0.4010 1
O10 O 0.2362 0.0000 0.8241 1
O11 O 0.3235 0.4449 0.0305 1
O12 O 0.3248 0.0550 0.2154 1
O13 O 0.3323 0.1958 0.2439 1
O14 O 0.3424 0.2955 0.0180 1
O15 O 0.4780 0.1807 0.5856 1
O16 O 0.4805 0.0744 0.7329 1
O17 O 0.4832 0.4287 0.4820 1
O18 O 0.4880 0.3215 0.5971 1
```

---

(4)
Theoretical powder XRD pattern of CoRh2Se4 for Cu Kα (λ = 1.5418 Å), from a cell relaxed with PBE.
Neutral-atom scattering factors, no anomalous dispersion.

Peak list (6 most intense, 10° ≤ 2θ ≤ 90°, most intense first)
hkl 1 1 1, 32.4°, I 100
hkl 3 1 -3, 49.0°, I 55
hkl 4 0 -2, 33.0°, I 49
hkl 5 1 -1, 44.7°, I 44
hkl 3 1 1, 44.2°, I 37
hkl 0 2 0, 48.8°, I 30

```
data_CoRh2Se4
_symmetry_space_group_name_H-M 'C 1 2/m 1'
_symmetry_Int_Tables_number 12
_cell_length_a 12.2016
_cell_length_b 3.7304
_cell_length_c 6.4299
_cell_angle_alpha 90.00
_cell_angle_beta 120.52
_cell_angle_gamma 90.00
loop_
_symmetry_equiv_pos_as_xyz
'x,y,z'
'-x,-y,-z'
'-x,y,-z'
'x,-y,z'
'x+1/2,y+1/2,z'
'-x+1/2,-y+1/2,-z'
'-x+1/2,y+1/2,-z'
'x+1/2,-y+1/2,z'
loop_
_atom_site_label
_atom_site_type_symbol
_atom_site_fract_x
_atom_site_fract_y
_atom_site_fract_z
_atom_site_occupancy
Co1 Co 0.0000 0.0000 0.0000 1
Rh1 Rh 0.2374 0.5000 0.7201 1
Se1 Se 0.1168 0.0000 0.4456 1
Se2 Se 0.1289 0.5000 0.9733 1
```

---

(5)
Theoretical powder XRD pattern of Tm3Ge for Cu Kα (λ = 1.5418 Å), from a cell relaxed with PBE.
Neutral-atom scattering factors, no anomalous dispersion.

Peak list (6 most intense, 10° ≤ 2θ ≤ 90°, most intense first)
hkl 1 1 2, 33.5°, I 100
hkl 2 0 0, 40.6°, I 30
hkl 2 0 4, 54.9°, I 25
hkl 3 1 2, 69.4°, I 24
hkl 0 0 4, 35.3°, I 22
hkl 1 1 6, 62.2°, I 17

```
data_Tm3Ge
_symmetry_space_group_name_H-M 'I 4/m m m'
_symmetry_Int_Tables_number 139
_symmetry_space_group_name_Hall '-I 4 2'
_cell_length_a 4.4427
_cell_length_b 4.4427
_cell_length_c 10.1722
_cell_angle_alpha 90.00
_cell_angle_beta 90.00
_cell_angle_gamma 90.00
loop_
_atom_site_label
_atom_site_type_symbol
_atom_site_fract_x
_atom_site_fract_y
_atom_site_fract_z
_atom_site_occupancy
Tm1 Tm 0.0000 0.0000 0.0000 1
Tm2 Tm 0.0000 0.5000 0.2500 1
Ge1 Ge 0.0000 0.0000 0.5000 1
```

---

Repeat the second record exactly.
Theoretical powder XRD pattern of Tm4CoSn8 for Cu Kα (λ = 1.5418 Å), from a cell relaxed with PBE.
Neutral-atom scattering factors, no anomalous dispersion.

Peak list (6 most intense, 10° ≤ 2θ ≤ 90°, most intense first)
hkl 1 1 3, 33.0°, I 100
hkl 2 0 0, 41.0°, I 35
hkl 3 1 3, 69.6°, I 24
hkl 0 0 6, 32.3°, I 18
hkl 2 2 0, 59.3°, I 12
hkl 2 2 6, 69.2°, I 10

```
data_Tm4CoSn8
_symmetry_space_group_name_H-M 'P m m 2'
_symmetry_Int_Tables_number 25
_cell_length_a 4.4037
_cell_length_b 4.4109
_cell_length_c 16.6051
_cell_angle_alpha 90.00
_cell_angle_beta 90.00
_cell_angle_gamma 90.00
loop_
_symmetry_equiv_pos_as_xyz
'x,y,z'
'-x,-y,z'
'-x,y,z'
'x,-y,z'
loop_
_atom_site_label
_atom_site_type_symbol
_atom_site_fract_x
_atom_site_fract_y
_atom_site_fract_z
_atom_site_occupancy
Tm1 Tm 0.0000 0.0000 0.0000 1
Tm2 Tm 0.0000 0.5000 0.1992 1
Tm3 Tm 0.5000 0.0000 0.4952 1
Tm4 Tm 0.5000 0.5000 0.7018 1
Co1 Co 0.0000 0.0000 0.7901 1
Sn1 Sn 0.0000 0.0000 0.3501 1
Sn2 Sn 0.0000 0.0000 0.6432 1
Sn3 Sn 0.0000 0.5000 0.5244 1
Sn4 Sn 0.0000 0.5000 0.8596 1
Sn5 Sn 0.5000 0.0000 0.1624 1
Sn6 Sn 0.5000 0.0000 0.8618 1
Sn7 Sn 0.5000 0.5000 0.0361 1
Sn8 Sn 0.5000 0.5000 0.3456 1
```

---

Repeat the second record exactly.
Theoretical powder XRD pattern of Tm4CoSn8 for Cu Kα (λ = 1.5418 Å), from a cell relaxed with PBE.
Neutral-atom scattering factors, no anomalous dispersion.

Peak list (6 most intense, 10° ≤ 2θ ≤ 90°, most intense first)
hkl 1 1 3, 33.0°, I 100
hkl 2 0 0, 41.0°, I 35
hkl 3 1 3, 69.6°, I 24
hkl 0 0 6, 32.3°, I 18
hkl 2 2 0, 59.3°, I 12
hkl 2 2 6, 69.2°, I 10

```
data_Tm4CoSn8
_symmetry_space_group_name_H-M 'P m m 2'
_symmetry_Int_Tables_number 25
_cell_length_a 4.4037
_cell_length_b 4.4109
_cell_length_c 16.6051
_cell_angle_alpha 90.00
_cell_angle_beta 90.00
_cell_angle_gamma 90.00
loop_
_symmetry_equiv_pos_as_xyz
'x,y,z'
'-x,-y,z'
'-x,y,z'
'x,-y,z'
loop_
_atom_site_label
_atom_site_type_symbol
_atom_site_fract_x
_atom_site_fract_y
_atom_site_fract_z
_atom_site_occupancy
Tm1 Tm 0.0000 0.0000 0.0000 1
Tm2 Tm 0.0000 0.5000 0.1992 1
Tm3 Tm 0.5000 0.0000 0.4952 1
Tm4 Tm 0.5000 0.5000 0.7018 1
Co1 Co 0.0000 0.0000 0.7901 1
Sn1 Sn 0.0000 0.0000 0.3501 1
Sn2 Sn 0.0000 0.0000 0.6432 1
Sn3 Sn 0.0000 0.5000 0.5244 1
Sn4 Sn 0.0000 0.5000 0.8596 1
Sn5 Sn 0.5000 0.0000 0.1624 1
Sn6 Sn 0.5000 0.0000 0.8618 1
Sn7 Sn 0.5000 0.5000 0.0361 1
Sn8 Sn 0.5000 0.5000 0.3456 1
```